Starting from a DFT-relaxed cell (PBE, OQMD), the XRD peak list of KNiBiC6S6N6 was simulated for Cu Kα X-rays.
Kinematic intensities with the Lorentz-polarization factor, no thermal factor.

Peak list (8 most intense, 2θ from 10° to 90°, in order of rising 2θ)
d = 6.907 Å, 2θ = 12.82°, rel. 76.0
d = 6.033 Å, 2θ = 14.68°, rel. 100.0
d = 5.961 Å, 2θ = 14.86°, rel. 83.6
d = 5.915 Å, 2θ = 14.98°, rel. 78.6
d = 4.439 Å, 2θ = 20.00°, rel. 93.6
d = 4.227 Å, 2θ = 21.02°, rel. 49.2
d = 3.458 Å, 2θ = 25.77°, rel. 42.9
d = 2.561 Å, 2θ = 35.04°, rel. 45.3

Crystal structure
```
42
Lattice="8.5081 0.0000 0.0000 -0.0996 8.5399 0.0000 -0.0130 -1.6865 11.8306" Properties=species:S:1:pos:R:3 pbc="T T T"
K 0.0763 2.4961 2.7381
K 8.3191 4.3573 9.0925
Ni 0.0000 0.0000 0.0000
Ni 4.1977 3.4267 5.9153
Bi -0.0065 -0.8433 5.9153
Bi 4.2042 4.2700 0.0000
C 1.3524 5.9212 1.0535
C 1.3578 4.6758 5.3105
C 1.3617 7.0733 8.9990
C 2.7890 1.2650 0.8596
C 2.7880 0.8653 4.6199
C 2.8622 2.4679 8.6814
C 5.5332 4.3855 3.1492
C 5.6075 5.9881 7.2107
C 5.6064 5.5884 10.9710
C 7.0337 -0.2198 2.8316
C 7.0377 2.1776 6.5201
C 7.0431 0.9322 10.7771
S 0.1186 1.8391 6.7818
S 1.9802 -0.3889 3.9267
S 2.0682 1.9473 10.0304
S 2.1988 4.8303 1.9422
S 2.1687 7.2920 7.5934
S 4.0287 5.2174 10.7504
S 4.3667 1.6360 1.0802
S 6.2268 -0.4385 4.2372
S 6.1967 2.0232 9.8884
S 6.3273 4.9061 1.8002
S 6.4152 7.2423 7.9039
S 8.2768 5.0143 5.0488
N 0.7527 6.7266 0.4364
N 0.7753 6.8516 10.0001
N 1.6466 0.9871 0.7410
N 2.4857 4.4020 5.4883
N 3.3824 1.7741 5.0719
N 3.4010 2.8439 7.7066
N 4.9944 4.0096 4.1240
N 5.0131 5.0793 6.7587
N 5.9098 2.4514 6.3423
N 6.7488 5.8664 11.0896
N 7.6201 0.0018 1.8305
N 7.6427 0.1268 11.3942
```


Starting from a DFT-relaxed cell (PBE, OQMD), the XRD peak list of Li8HgAu2 was simulated for Cu Kα X-rays.
Kinematic intensities with the Lorentz-polarization factor, no thermal factor.

Peak list (8 most intense, 2θ from 10° to 90°, in order of rising 2θ)
d = 3.690 Å, 2θ = 24.12°, rel. 100.0
d = 3.398 Å, 2θ = 26.22°, rel. 65.3
d = 2.866 Å, 2θ = 31.21°, rel. 29.2
d = 2.242 Å, 2θ = 40.23°, rel. 41.0
d = 2.195 Å, 2θ = 41.11°, rel. 39.0
d = 1.998 Å, 2θ = 45.39°, rel. 17.4
d = 1.887 Å, 2θ = 48.23°, rel. 16.2
d = 1.844 Å, 2θ = 49.42°, rel. 28.6

Crystal structure
```
11
Lattice="3.8000 -2.1970 0.0000 3.8000 2.1970 0.0000 -2.5492 0.0000 10.1752" Properties=species:S:1:pos:R:3 pbc="T T T"
Li -0.0049 0.0000 2.8030
Li -0.0097 0.0000 5.5075
Li -0.0131 0.0000 8.2412
Li 2.5314 0.0000 0.9844
Li 2.5194 0.0000 9.1907
Li 5.0639 0.0000 1.9339
Li 5.0605 0.0000 4.6677
Li 5.0558 0.0000 7.3721
Hg 0.0000 0.0000 0.0000
Au 2.5293 0.0000 3.6491
Au 2.5215 0.0000 6.5260
```


Starting from a DFT-relaxed cell (PBE, OQMD), the XRD peak list of PrAlGaPdAu was simulated for Cu Kα X-rays.
Kinematic intensities with the Lorentz-polarization factor, no thermal factor.

Peak list (8 most intense, 2θ from 10° to 90°, in order of rising 2θ)
d = 3.091 Å, 2θ = 28.89°, rel. 53.2
d = 2.966 Å, 2θ = 30.13°, rel. 31.3
d = 2.742 Å, 2θ = 32.65°, rel. 100.0
d = 2.668 Å, 2θ = 33.60°, rel. 81.0
d = 2.185 Å, 2θ = 41.31°, rel. 80.0
d = 1.902 Å, 2θ = 47.81°, rel. 45.0
d = 1.709 Å, 2θ = 53.63°, rel. 49.2
d = 1.435 Å, 2θ = 65.00°, rel. 35.8

Crystal structure
```
10
Lattice="4.3708 0.0000 0.0000 0.0000 4.3708 0.0000 0.0000 0.0000 10.5650" Properties=species:S:1:pos:R:3 pbc="T T T"
Pr 1.0927 1.0927 2.5949
Pr 3.2781 3.2781 7.9701
Al 1.0927 3.2781 5.2825
Al 3.2781 1.0927 5.2825
Ga 1.0927 1.0927 9.2559
Ga 3.2781 3.2781 1.3091
Pd 1.0927 3.2781 0.0000
Pd 3.2781 1.0927 0.0000
Au 1.0927 1.0927 6.6784
Au 3.2781 3.2781 3.8867
```


Starting from a DFT-relaxed cell (PBE, OQMD), the XRD peak list of Ba3Pd2 was simulated for Cu Kα X-rays.
Kinematic intensities with the Lorentz-polarization factor, no thermal factor.

Peak list (8 most intense, 2θ from 10° to 90°, in order of rising 2θ)
d = 3.443 Å, 2θ = 25.87°, rel. 29.4
d = 3.187 Å, 2θ = 28.00°, rel. 56.3
d = 3.135 Å, 2θ = 28.47°, rel. 35.7
d = 3.058 Å, 2θ = 29.20°, rel. 100.0
d = 2.852 Å, 2θ = 31.36°, rel. 75.6
d = 2.665 Å, 2θ = 33.64°, rel. 70.0
d = 2.647 Å, 2θ = 33.87°, rel. 78.5
d = 2.007 Å, 2θ = 45.18°, rel. 27.3

Crystal structure
```
15
Lattice="4.9399 2.8521 6.2692 -4.9399 2.8521 6.2692 0.0000 -5.7041 6.2692" Properties=species:S:1:pos:R:3 pbc="T T T"
Ba 0.0000 0.0000 0.0000
Ba -2.5497 0.1221 7.6658
Ba 0.0000 0.0000 3.7987
Ba -1.3805 -2.1470 11.1419
Ba 1.1691 -2.2691 7.6658
Ba -1.1691 2.2691 11.1419
Ba 1.3805 2.1470 7.6658
Ba 0.0000 0.0000 15.0089
Ba 2.5497 -0.1221 11.1419
Pd -1.8301 -3.5561 8.1551
Pd -3.9948 -0.1931 10.6526
Pd -2.1646 3.3630 8.1551
Pd 2.1646 -3.3630 10.6526
Pd 3.9948 0.1931 8.1551
Pd 1.8301 3.5561 10.6526
```


Starting from a DFT-relaxed cell (PBE, OQMD), the XRD peak list of Cs13Nb2In6As10 was simulated for Cu Kα X-rays.
Kinematic intensities with the Lorentz-polarization factor, no thermal factor.

Peak list (8 most intense, 2θ from 10° to 90°, in order of rising 2θ)
d = 4.351 Å, 2θ = 20.41°, rel. 33.6
d = 3.444 Å, 2θ = 25.87°, rel. 27.8
d = 3.113 Å, 2θ = 28.68°, rel. 100.0
d = 3.101 Å, 2θ = 28.79°, rel. 33.6
d = 3.077 Å, 2θ = 29.01°, rel. 24.8
d = 3.046 Å, 2θ = 29.32°, rel. 35.0
d = 3.010 Å, 2θ = 29.68°, rel. 38.1
d = 3.000 Å, 2θ = 29.78°, rel. 28.9

Crystal structure
```
31
Lattice="9.7812 0.0000 0.0000 4.0961 8.9193 0.0000 1.5533 1.7085 13.9904" Properties=species:S:1:pos:R:3 pbc="T T T"
Cs 0.0000 0.0000 0.0000
Cs 3.6459 4.6192 12.3626
Cs 3.7121 3.1764 8.2604
Cs 5.7547 5.9407 5.9783
Cs 5.3214 3.8395 2.3536
Cs 8.2118 9.5104 4.9986
Cs 7.5864 7.3754 1.2153
Cs 7.8441 3.2524 12.7750
Cs 7.2188 1.1174 8.9918
Cs 10.1091 6.7884 11.6368
Cs 9.6758 4.6872 8.0121
Cs 11.7184 7.4515 5.7299
Cs 11.7846 6.0087 1.6277
Nb 7.1599 9.1215 10.8365
Nb 8.2707 1.5064 3.1538
In 5.0773 8.8737 8.2378
In 1.7719 2.3074 2.4167
In 6.2437 5.9138 9.8909
In 9.1868 4.7140 4.0995
In 13.6586 8.3204 11.5737
In 10.3532 1.7541 5.7526
As 2.1950 3.9135 4.8022
As 4.6104 8.9031 3.5640
As 6.4334 7.2711 12.4257
As 7.7745 8.0356 8.6209
As 9.0264 10.3338 11.7691
As 6.4042 0.2940 2.2212
As 7.6560 2.5923 5.3694
As 8.9972 3.3567 1.5647
As 10.8202 1.7247 10.4264
As 13.2355 6.7144 9.1881
```